Diffraction record for Na2CrO4. The powder diffraction line list is calculated, not measured: it uses a cell relaxed with GGA+U and λ = 1.5418 Å (Cu Kα).
Intensities are scaled so that the largest is 100.

Most intense lines, 2θ = 15–90°, by angle:
| 2theta | intensity |
| --- | --- |
| 17.58 | 22 |
| 21.52 | 62 |
| 22.65 | 57 |
| 24.77 | 35 |
| 29.84 | 56 |
| 30.53 | 100 |
| 32.33 | 75 |
| 35.58 | 28 |
| 43.84 | 24 |
| 56.02 | 35 |

Structure:
```
Na2CrO4
1.0
2.9943 -4.6853 0.0000
2.9943 4.6853 0.0000
0.0000 0.0000 7.1888
Na Cr O
4 2 8
direct
0.0000 0.0000 0.0000
0.0000 0.0000 0.5000
0.3170 0.6830 0.7500
0.6830 0.3170 0.2500
0.3537 0.6463 0.2500
0.6463 0.3537 0.7500
0.2308 0.3144 0.2500
0.2507 0.7493 0.0626
0.2507 0.7493 0.4374
0.3144 0.2308 0.7500
0.6856 0.7692 0.2500
0.7493 0.2507 0.5626
0.7493 0.2507 0.9374
0.7692 0.6856 0.7500
```